(1)
CePmSm6Y2: theoretical PXRD pattern (Cu Kα (λ = 1.5418 Å)), based on the GGA-PBE geometry in Alexandria.
Neutral-atom scattering factors, no anomalous dispersion.

Most intense lines, 2θ from 15° to 90°, low angle first:
2θ/deg, d/Å, Rel. int.
26.99, 3.304, 21.6
27.22, 3.277, 19.7
29.23, 3.055, 35.2
30.57, 2.924, 31.4
30.94, 2.890, 100.0
31.46, 2.844, 23.1
32.65, 2.743, 26.9
33.24, 2.696, 40.4
33.63, 2.665, 46.7
56.14, 1.638, 21.0

```
CePmSm6Y2
1.0
5.7354 -3.4418 0.0000
5.7354 3.4418 0.0000
-2.3045 0.0000 8.6705
Ce Pm Sm Y
1 1 6 2
Cartesian
0.0000 0.0000 0.0000
4.5832 0.0000 4.3352
3.3504 1.6400 1.7179
0.5293 0.0000 3.6087
5.8159 1.6400 6.9525
3.3504 -1.6400 1.7179
8.6370 0.0000 5.0618
5.8159 -1.6400 6.9525
2.7469 0.0000 7.2376
6.4194 0.0000 1.4328
```

=====

(2)
SmY3Hg: theoretical PXRD pattern (Cu Kα (λ = 1.5418 Å)), based on the GGA-PBE geometry in Alexandria.
Neutral-atom scattering factors, no anomalous dispersion.

Most intense lines, 2θ from 15° to 90°, low angle first:
2θ/deg, d/Å, Rel. int.
16.30, 5.437, 17.4
28.79, 3.101, 38.1
29.53, 3.025, 28.6
33.06, 2.709, 57.7
33.20, 2.699, 88.7
33.38, 2.684, 100.0
33.94, 2.641, 75.6
50.55, 1.806, 19.1
51.93, 1.761, 29.8
59.62, 1.551, 17.5

```
SmY3Hg
1.0
8.9979 0.0000 0.0000
0.0000 6.0500 0.0000
-5.4179 0.0000 10.8744
Sm Y Hg
4 12 4
Cartesian
0.7607 1.2378 0.9126
-1.9483 1.7872 6.3498
5.5283 4.2628 4.5246
2.8194 4.8122 9.9618
-0.6642 3.9568 2.4641
-3.3731 5.1182 7.9014
-1.6746 1.2290 9.9392
1.0344 1.7960 4.5020
-0.2587 3.9677 8.4027
2.4502 5.1073 2.9655
1.1298 0.9427 7.9089
3.8388 2.0823 2.4717
2.5457 4.2540 6.3724
5.2546 4.8210 0.9352
6.9532 0.9318 2.9731
4.2443 2.0932 8.4103
-3.1189 3.9922 10.8646
-0.4099 5.0828 5.4274
3.9900 0.9672 5.4471
6.6989 2.0578 0.0099
```